# 1
# Pr2Mg
Computed PXRD pattern, Cu Kα (weighted mean of Kα1 and Kα2). Input: the GGA-PBE geometry in the Materials Project.
No peak broadening, texture or thermal motion is included.

The 10 most intense peaks (2θ = 15–90°), in order of falling intensity:
2θ/deg	intensity
31.07	100.0
32.48	47.6
23.86	41.2
57.07	35.3
46.60	17.4
43.31	17.0
54.36	16.5
27.87	13.9
55.48	12.0
75.30	9.7

Structural model:
```
Pr2Mg
1.0
3.8983 0.0000 0.0000
0.0000 3.8983 0.0000
0.0000 0.0000 12.8067
Pr Mg
4 2
direct
0.0000 0.0000 0.1522
0.0000 0.0000 0.8478
0.5000 0.5000 0.3478
0.5000 0.5000 0.6522
0.0000 0.0000 0.5000
0.5000 0.5000 0.0000
```

=====

# 2
# PrMg12
Computed PXRD pattern, Cu Kα (weighted mean of Kα1 and Kα2). Input: the GGA-PBE geometry in the Materials Project.
No peak broadening, texture or thermal motion is included.

The 10 most intense peaks (2θ = 15–90°), in order of falling intensity:
2θ/deg	intensity
34.78	100.0
24.50	64.5
35.20	61.6
30.04	56.9
34.64	43.7
17.39	40.3
27.23	27.7
57.03	23.4
62.17	20.1
62.45	19.2

Structural model:
```
PrMg12
1.0
-5.1789 5.1789 2.9289
5.1789 -5.1789 2.9289
5.1789 5.1789 -2.9289
Pr Mg
1 12
direct
0.0000 0.0000 0.0000
0.0000 0.0000 0.5000
0.0000 0.3525 0.3525
0.0000 0.5000 0.0000
0.0000 0.6475 0.6475
0.2873 0.5000 0.7873
0.3525 0.0000 0.3525
0.5000 0.0000 0.0000
0.5000 0.2873 0.7873
0.5000 0.5000 0.5000
0.5000 0.7127 0.2127
0.6475 0.0000 0.6475
0.7127 0.5000 0.2127
```

=====

# 3
# Pr5Mg41
Computed PXRD pattern, Cu Kα (weighted mean of Kα1 and Kα2). Input: the GGA-PBE geometry in the Materials Project.
No peak broadening, texture or thermal motion is included.

The 10 most intense peaks (2θ = 15–90°), in order of falling intensity:
2θ/deg	intensity
15.89	100.0
35.52	78.9
32.09	71.8
28.93	63.0
31.54	62.8
35.95	55.7
25.59	48.1
19.05	39.7
16.92	28.0
56.88	26.4

Structural model:
```
Pr5Mg41
1.0
-7.3665 7.3665 5.2401
7.3665 -7.3665 5.2401
7.3665 7.3665 -5.2401
Pr Mg
5 41
direct
0.0000 0.0000 0.0000
0.2362 0.4293 0.6655
0.4293 0.7638 0.1930
0.5707 0.2362 0.8070
0.7638 0.5707 0.3345
0.0000 0.0000 0.5000
0.0000 0.5000 0.0000
0.0096 0.5974 0.6070
0.0797 0.9141 0.2875
0.0859 0.3735 0.1657
0.1084 0.6650 0.2903
0.1220 0.2214 0.3435
0.1738 0.3866 0.9408
0.1819 0.8916 0.5566
0.2078 0.9203 0.8343
0.2172 0.6591 0.8763
0.2214 0.8780 0.0994
0.2331 0.1738 0.7873
0.3350 0.6253 0.4434
0.3409 0.2172 0.5581
0.3735 0.2078 0.2875
0.3747 0.8181 0.7097
0.3866 0.4458 0.2127
0.4026 0.0096 0.4121
0.4458 0.2331 0.0592
0.5000 0.0000 0.0000
0.5000 0.5000 0.0000
0.5000 0.5000 0.5000
0.5542 0.7669 0.9408
0.5974 0.9904 0.5879
0.6134 0.5542 0.7873
0.6253 0.1819 0.2903
0.6265 0.7922 0.7125
0.6591 0.7828 0.4419
0.6650 0.3747 0.5566
0.7669 0.8262 0.2127
0.7786 0.1220 0.9006
0.7828 0.3409 0.1237
0.7922 0.0797 0.1657
0.8181 0.1084 0.4434
0.8262 0.6134 0.0592
0.8780 0.7786 0.6565
0.8916 0.3350 0.7097
0.9141 0.6265 0.8343
0.9203 0.0859 0.7125
0.9904 0.4026 0.3930
```